Y2Te2Se: computed powder diffractogram (Cu Kα, 1.54184 Å), based on a structure optimized by DFT (GGA-PBE).

Cell and atoms:
Lattice parameters (Å, degrees): 13.3036 8.1939 6.5353 90.00 119.32 90.00
Space group C2/c (No. 15)
One atom of each set of equivalent atoms:
1 Y 0.1025 0.2432 0.1019
2 Te 0.1474 0.3751 0.6479
3 Se 0.0000 0.0003 0.2500

Most intense lines, 15° ≤ 2θ ≤ 90°, sorted by position:
2θ 25.47, I 77
2θ 26.81, I 100
2θ 27.29, I 68
2θ 30.44, I 54
2θ 30.84, I 32
2θ 35.13, I 39
2θ 35.60, I 40
2θ 38.97, I 99
2θ 41.64, I 69
2θ 47.07, I 27
2θ 56.30, I 52
2θ 60.37, I 39